Diffraction record for NaTm2O. The powder diffraction line list is simulated, not measured: it uses a DFT-relaxed cell (GGA-PBE, Alexandria) and a wavelength of 1.5418 Å.
Intensities are scaled so that the largest is 1000.

Most intense lines, 2θ from 5° to 70°, in order of rising 2θ:
h k l, Position (°2θ), I (rel.)
0 0 3, 9.4, 1000
0 0 9, 28.3, 176
1 0 1, 30.4, 304
1 0 4, 32.8, 331
0 1 5, 34.2, 246
0 1 8, 39.7, 310
1 1 0, 53.7, 136
1 1 9, 61.8, 120

Cell and atoms:
Cell: 3.4126 3.4126 28.3577 Å, 90.00 90.00 120.00°
Space group R-3m (No. 166, hexagonal axes)
Inequivalent atoms, fractional coordinates:
Na: 0.0000 0.0000 0.0000
Tm: 0.0000 0.0000 0.1198
O: 0.0000 0.0000 0.5000